[1]
Structure and simulated powder X-ray diffraction pattern of Pa2P2PtN2 (DFT lattice parameters and positions (PBE); Cu Ka).
No peak broadening, texture or thermal motion is included.

Structure:
```
7
Lattice="3.8490 0.0000 0.0000 -1.9245 3.3333 0.0000 0.0000 0.0000 10.3242" Properties=species:S:1:pos:R:3 pbc="T T T"
Pa 0.0000 2.2222 3.0813
Pa 1.9245 1.1111 7.2428
P 0.0000 0.0000 1.0075
P 0.0000 0.0000 9.3167
Pt 0.0000 0.0000 5.1621
N 0.0000 2.2222 7.1993
N 1.9245 1.1111 3.1249
```

Main lines, most intense first (2θ = 15–90°):
| two_theta | I (rel.) |
| --- | --- |
| 31.96 | 100 |
| 28.13 | 83 |
| 37.57 | 65 |
| 47.23 | 43 |
| 66.40 | 31 |
| 44.39 | 24 |
| 58.16 | 19 |
| 43.85 | 18 |

[2]
Structure and simulated powder X-ray diffraction pattern of Pa2PPtN5 (DFT lattice parameters and positions (PBE); Cu Ka).
No peak broadening, texture or thermal motion is included.

Structure:
```
18
Lattice="1.6577 -6.6216 0.0000 1.6577 6.6216 0.0000 0.0000 0.0000 10.9272" Properties=species:S:1:pos:R:3 pbc="T T T"
Pa 1.6577 5.1500 5.4636
Pa 1.6577 4.3161 1.8537
Pa 1.6577 -4.3161 7.3173
Pa 1.6577 -5.1500 0.0000
P 1.6577 0.6859 2.6487
P 1.6577 -0.6859 8.1123
Pt 1.6577 3.7560 9.5150
Pt 1.6577 -3.7560 4.0515
N 1.6577 5.8537 9.0288
N 1.6577 2.9397 5.9867
N 1.6577 1.9471 1.5903
N 1.6577 1.6996 9.4374
N 1.6577 0.5231 6.9903
N 1.6577 -0.5231 1.5267
N 1.6577 -1.6996 3.9738
N 1.6577 -1.9471 7.0539
N 1.6577 -2.9397 0.5231
N 1.6577 -5.8537 3.5652
```

Main lines, most intense first (2θ = 15–90°):
| two_theta | I (rel.) |
| --- | --- |
| 37.30 | 100 |
| 27.96 | 74 |
| 33.81 | 43 |
| 34.82 | 40 |
| 28.16 | 30 |
| 27.74 | 26 |
| 55.73 | 24 |
| 41.75 | 20 |